This entry pairs a crystal structure of ZrTiNi2H6 with its calculated XRD peak list. Radiation: Cu Kα (weighted mean of Kα1 and Kα2). Structure: a DFT-relaxed cell (PBE, the Materials Project).
No peak broadening, texture or thermal motion is included.

Structure:
```
data_ZrTiNi2H6
_chemical_formula_sum 'Zr2 Ti2 Ni4 H12'
_cell_length_a 4.2756
_cell_length_b 3.4417
_cell_length_c 10.3101
_cell_angle_alpha 90.00
_cell_angle_beta 90.00
_cell_angle_gamma 90.00
_space_group_name_H-M_alt 'A m m 2'
_space_group_IT_number 38
_space_group_name_Hall 'A 2 -2'
loop_
_atom_site_label
_atom_site_fract_x
_atom_site_fract_y
_atom_site_fract_z
Zr1 0.0000 0.0000 0.0000
Ti1 0.5000 0.0000 0.2833
Ni1 0.0000 0.0000 0.7148
Ni2 0.5000 0.0000 0.5762
H1 0.0000 0.0000 0.2149
H2 0.2572 0.0000 0.4485
H3 0.2738 0.0000 0.8257
H4 0.5000 0.0000 0.0818
```

Peak list (10 most intense, 2θ = 10–90°, by angle)
d 5.155, I = 22; d 2.595, I = 100; d 2.578, I = 21; d 2.432, I = 36; d 2.207, I = 43; d 2.138, I = 37; d 2.114, I = 71; d 1.721, I = 19; d 1.606, I = 21; d 1.144, I = 17

---

This entry pairs a crystal structure of ZrNiH3 with its calculated XRD peak list. Radiation: Cu Kα (weighted mean of Kα1 and Kα2). Structure: a DFT-relaxed cell (PBE, the Materials Project).
No peak broadening, texture or thermal motion is included.

Structure:
```
data_ZrNiH3
_chemical_formula_sum 'Zr4 Ni4 H12'
_cell_length_a 3.5160
_cell_length_b 10.5197
_cell_length_c 4.3317
_cell_angle_alpha 90.00
_cell_angle_beta 90.00
_cell_angle_gamma 90.00
_space_group_name_H-M_alt 'C m c m'
_space_group_IT_number 63
_space_group_name_Hall '-C 2c 2'
loop_
_atom_site_label
_atom_site_fract_x
_atom_site_fract_y
_atom_site_fract_z
Zr1 0.0000 0.1402 0.2500
Ni1 0.0000 0.4312 0.2500
H1 0.0000 0.0682 0.7500
H2 0.0000 0.3133 0.5032
```

Peak list (10 most intense, 2θ = 10–90°, by angle)
d 3.344, I = 16; d 2.642, I = 100; d 2.630, I = 24; d 2.483, I = 40; d 2.248, I = 32; d 2.166, I = 35; d 2.154, I = 64; d 1.758, I = 19; d 1.632, I = 23; d 1.165, I = 17

---

This entry pairs a crystal structure of NpH2 with its calculated XRD peak list. Radiation: Cu Kα (weighted mean of Kα1 and Kα2). Structure: a DFT-relaxed cell (PBE, the Materials Project).
No peak broadening, texture or thermal motion is included.

Structure:
```
data_NpH2
_chemical_formula_sum 'Np4 H8'
_cell_length_a 5.2283
_cell_length_b 5.2283
_cell_length_c 5.2283
_cell_angle_alpha 90.00
_cell_angle_beta 90.00
_cell_angle_gamma 90.00
_space_group_name_H-M_alt 'F m -3 m'
_space_group_IT_number 225
_space_group_name_Hall '-F 4 2 3'
loop_
_atom_site_label
_atom_site_fract_x
_atom_site_fract_y
_atom_site_fract_z
Np1 0.0000 0.0000 0.0000
H1 0.2500 0.2500 0.2500
```

Peak list (8 most intense, 2θ = 10–90°, by angle)
d 3.019, I = 100; d 2.614, I = 50; d 1.848, I = 39; d 1.576, I = 46; d 1.509, I = 13; d 1.307, I = 6; d 1.199, I = 19; d 1.169, I = 18

---

This entry pairs a crystal structure of Rb3NpH4O7 with its calculated XRD peak list. Radiation: Cu Kα (weighted mean of Kα1 and Kα2). Structure: a DFT-relaxed cell (PBE, the Materials Project).
No peak broadening, texture or thermal motion is included.

Structure:
```
data_Rb3NpH4O7
_chemical_formula_sum 'Rb12 Np4 H16 O28'
_cell_length_a 6.6424
_cell_length_b 11.5637
_cell_length_c 13.8408
_cell_angle_alpha 90.00
_cell_angle_beta 117.78
_cell_angle_gamma 90.00
_space_group_name_H-M_alt 'P 1 21/c 1'
_space_group_IT_number 14
_space_group_name_Hall '-P 2ybc'
loop_
_atom_site_label
_atom_site_fract_x
_atom_site_fract_y
_atom_site_fract_z
Rb1 0.0077 0.2205 0.2419
Rb2 0.2584 0.6209 0.0517
Rb3 0.4642 0.5390 0.6364
Np1 0.3732 0.2061 0.5916
H1 0.0156 0.1202 0.0492
H2 0.0717 0.5433 0.7066
H3 0.0783 0.0776 0.9176
H4 0.3042 0.5184 0.8642
O1 0.0564 0.1685 0.0029
O2 0.0728 0.0206 0.8606
O3 0.2004 0.1128 0.6403
O4 0.2620 0.1157 0.4600
O5 0.3118 0.5802 0.8173
O6 0.4568 0.6992 0.4576
O7 0.4894 0.2069 0.2252
```

Peak list (10 most intense, 2θ = 10–90°, by angle)
d 5.877, I = 47; d 5.785, I = 79; d 5.411, I = 94; d 5.185, I = 62; d 3.677, I = 61; d 3.502, I = 58; d 3.454, I = 100; d 3.321, I = 77; d 3.262, I = 53; d 1.932, I = 53

---

This entry pairs a crystal structure of Rb3NpH8O9 with its calculated XRD peak list. Radiation: Cu Kα (weighted mean of Kα1 and Kα2). Structure: a DFT-relaxed cell (PBE, the Materials Project).
No peak broadening, texture or thermal motion is included.

Structure:
```
data_Rb3NpH8O9
_chemical_formula_sum 'Rb12 Np4 H32 O36'
_cell_length_a 12.4461
_cell_length_b 11.2279
_cell_length_c 7.9387
_cell_angle_alpha 90.00
_cell_angle_beta 93.57
_cell_angle_gamma 90.00
_space_group_name_H-M_alt 'C 1 2/c 1'
_space_group_IT_number 15
_space_group_name_Hall '-C 2yc'
loop_
_atom_site_label
_atom_site_fract_x
_atom_site_fract_y
_atom_site_fract_z
Rb1 0.0000 0.0612 0.2500
Rb2 0.2027 0.4101 0.4604
Np1 0.2500 0.2500 0.0000
H1 0.0183 0.2369 0.5574
H2 0.0304 0.4295 0.8412
H3 0.0576 0.3836 0.0927
H4 0.1064 0.1740 0.6887
O1 0.0000 0.4866 0.7500
O2 0.0746 0.3405 0.9898
O3 0.0774 0.1753 0.5697
O4 0.1902 0.1172 0.8716
O5 0.2208 0.1738 0.2052
```

Peak list (10 most intense, 2θ = 10–90°, by angle)
d 6.211, I = 83; d 5.864, I = 42; d 5.623, I = 76; d 4.165, I = 52; d 3.962, I = 37; d 3.438, I = 54; d 3.287, I = 100; d 3.246, I = 70; d 3.106, I = 36; d 2.587, I = 43

---

This entry pairs a crystal structure of Sr3H5Os2O8 with its calculated XRD peak list. Radiation: Cu Kα (weighted mean of Kα1 and Kα2). Structure: a DFT-relaxed cell (PBE, the Materials Project).
No peak broadening, texture or thermal motion is included.

Structure:
```
data_Sr3H5Os2O8
_chemical_formula_sum 'Sr6 H10 Os4 O16'
_cell_length_a 5.8780
_cell_length_b 9.9435
_cell_length_c 10.7979
_cell_angle_alpha 63.38
_cell_angle_beta 87.12
_cell_angle_gamma 73.32
_space_group_name_H-M_alt 'P -1'
_space_group_IT_number 2
_space_group_name_Hall '-P 1'
loop_
_atom_site_label
_atom_site_fract_x
_atom_site_fract_y
_atom_site_fract_z
Sr1 0.0545 0.4121 0.3467
Sr2 0.2550 0.9510 0.4024
Sr3 0.3920 0.7833 0.0811
H1 0.0894 0.8139 0.8575
H2 0.2348 0.1304 0.6281
H3 0.3147 0.3021 0.6877
H4 0.3465 0.4040 0.1650
H5 0.4973 0.6358 0.6117
Os1 0.1088 0.1978 0.7449
Os2 0.3944 0.6896 0.7360
O1 0.0249 0.6862 0.1554
O2 0.0667 0.6410 0.4155
O3 0.0694 0.8194 0.6212
O4 0.1110 0.9249 0.2037
O5 0.2581 0.7531 0.8855
O6 0.3378 0.5027 0.8132
O7 0.3594 0.0486 0.8644
O8 0.4729 0.1529 0.3575
```

Peak list (10 most intense, 2θ = 10–90°, by angle)
d 5.246, I = 60; d 5.048, I = 62; d 4.806, I = 100; d 4.287, I = 79; d 3.361, I = 70; d 3.120, I = 58; d 3.050, I = 54; d 2.933, I = 70; d 2.898, I = 42; d 2.158, I = 62